Entry 1:
Starting from the PBE geometry in OQMD, the PXRD pattern of TaAg7S6 was calculated for Cu Kα.
Peak positions follow from Bragg's law for the DFT cell and can differ from measured ones.

Cell and atoms:
Lattice parameters (Å, degrees): 7.864 7.312 13.183 90.00 126.00 90.00
Space group Pc (No. 7)
One atom of each set of equivalent atoms:
Ta  0.000  0.248  0.000 [2 per cell]
Ag  0.016  0.207  0.533 [2 per cell]
Ag  0.052  0.019  0.746 [2 per cell]
Ag  0.276  0.465  0.492 [2 per cell]
Ag  0.341  0.345  0.299 [2 per cell]
Ag  0.464  0.127  0.664 [2 per cell]
Ag  0.498  0.039  0.937 [2 per cell]
Ag  0.933  0.421  0.700 [2 per cell]
S  0.292  0.272  0.766 [2 per cell]
S  0.365  0.238  0.125 [2 per cell]
S  0.566  0.270  0.530 [2 per cell]
S  0.846  0.247  0.106 [2 per cell]
S  0.859  0.015  0.855 [2 per cell]
S  0.877  0.493  0.376 [2 per cell]

Most intense lines, 2θ from 5° to 70°, by angle:
2θ/deg  d (Å)  I (rel.)  (hkl)
13.92  6.362  87  1 0 0
28.05  3.181  70  2 0 0
28.22  3.162  100  1 2 -2
30.28  2.952  59  1 1 -4
30.65  2.917  57  2 1 0
36.99  2.430  71  1 2 2

---

Entry 2:
Starting from the PBE geometry in OQMD, the PXRD pattern of TaAg3S4 was calculated for Cu Kα.
Peak positions follow from Bragg's law for the DFT cell and can differ from measured ones.

Cell and atoms:
Lattice parameters (Å, degrees): 6.835 6.835 6.835 90.00 90.00 90.00
Space group I-43m (No. 217)
One atom of each set of equivalent atoms:
Ta  0.000  0.000  0.000 [2 per cell]
Ag  0.000  0.000  0.500 [6 per cell]
S  0.195  0.195  0.195 [8 per cell]

Most intense lines, 2θ from 5° to 70°, by angle:
2θ/deg  d (Å)  I (rel.)  (hkl)
26.07  3.418  61  2 0 0
37.21  2.417  100  2 2 0
46.00  1.973  22  2 2 2
53.63  1.709  14  4 0 0
60.58  1.528  33  4 2 0
67.08  1.395  27  4 2 2

---

Entry 3:
Starting from the PBE geometry in OQMD, the PXRD pattern of TaTlAg2S4 was calculated for Cu Kα.
Peak positions follow from Bragg's law for the DFT cell and can differ from measured ones.

Cell and atoms:
Lattice parameters (Å, degrees): 7.864 19.416 6.038 90.00 90.00 90.00
Space group Ama2 (No. 40)
One atom of each set of equivalent atoms:
Ta  0.250  0.117  0.000 [4 per cell]
Tl  0.250  0.310  0.377 [4 per cell]
Ag  0.000  0.000  0.042 [4 per cell]
Ag  0.250  0.124  0.502 [4 per cell]
S  0.006  0.119  0.219 [8 per cell]
S  0.250  0.020  0.772 [4 per cell]
S  0.250  0.217  0.799 [4 per cell]

Most intense lines, 2θ from 5° to 70°, by angle:
2θ/deg  d (Å)  I (rel.)  (hkl)
14.50  6.111  71  1 2 0
15.37  5.765  100  0 1 1
22.61  3.932  54  2 0 0
29.86  2.993  57  1 6 0
30.44  2.936  61  2 3 1
42.08  2.147  73  2 4 2

---

Entry 4:
Starting from the PBE geometry in OQMD, the PXRD pattern of Tb2Ag2Te3S was calculated for Cu Kα.
Peak positions follow from Bragg's law for the DFT cell and can differ from measured ones.

Cell and atoms:
Lattice parameters (Å, degrees): 9.584 10.323 4.537 90.00 91.08 90.00
Space group Cm (No. 8)
One atom of each set of equivalent atoms:
Tb  0.000  0.000  0.000 [2 per cell]
Tb  0.049  0.500  0.410 [2 per cell]
Ag  0.295  0.243  0.237 [4 per cell]
Te  0.043  0.294  0.920 [4 per cell]
Te  0.231  0.000  0.503 [2 per cell]
S  0.333  0.500  0.478 [2 per cell]

Most intense lines, 2θ from 5° to 70°, by angle:
2θ/deg  d (Å)  I (rel.)  (hkl)
26.15  3.408  59  0 2 1
27.33  3.264  66  2 0 1
32.01  2.796  100  2 2 -1
34.12  2.628  70  1 3 1
34.76  2.581  79  0 4 0
43.79  2.068  64  2 0 -2

---

Entry 5:
Starting from the PBE geometry in OQMD, the PXRD pattern of AgTeS6 was calculated for Cu Kα.
Peak positions follow from Bragg's law for the DFT cell and can differ from measured ones.

Cell and atoms:
Lattice parameters (Å, degrees): 8.848 8.848 8.848 90.00 90.00 90.00
Space group F-43m (No. 216)
One atom of each set of equivalent atoms:
Ag  0.000  0.000  0.000 [4 per cell]
Te  0.250  0.250  0.250 [4 per cell]
S  0.000  0.000  0.291 [24 per cell]

Most intense lines, 2θ from 5° to 70°, by angle:
2θ/deg  d (Å)  I (rel.)  (hkl)
17.36  5.109  100  1 1 1
28.53  3.128  83  2 2 0
33.59  2.668  97  3 1 1
40.79  2.212  72  4 0 0
44.64  2.030  69  3 3 1
59.06  1.564  39  4 4 0

---

Entry 6:
Starting from the PBE geometry in OQMD, the PXRD pattern of Y2Ag2TeS3 was calculated for Cu Kα.
Peak positions follow from Bragg's law for the DFT cell and can differ from measured ones.

Cell and atoms:
Lattice parameters (Å, degrees): 9.885 9.173 4.217 90.00 92.09 90.00
Space group Cm (No. 8)
One atom of each set of equivalent atoms:
Y  0.000  0.000  0.000 [2 per cell]
Y  0.036  0.500  0.435 [2 per cell]
Ag  0.272  0.250  0.177 [4 per cell]
Te  0.227  0.000  0.530 [2 per cell]
S  0.019  0.300  0.947 [4 per cell]
S  0.317  0.500  0.472 [2 per cell]

Most intense lines, 2θ from 5° to 70°, by angle:
2θ/deg  d (Å)  I (rel.)  (hkl)
26.52  3.361  38  2 2 0
28.78  3.102  100  0 2 1
33.70  2.660  68  2 2 -1
36.38  2.470  49  4 0 0
39.29  2.293  48  0 4 0
47.50  1.914  40  0 2 2

---

Entry 7:
Starting from the PBE geometry in OQMD, the PXRD pattern of Tl3Ag2S3 was calculated for Cu Kα.
Peak positions follow from Bragg's law for the DFT cell and can differ from measured ones.

Cell and atoms:
Lattice parameters (Å, degrees): 4.539 4.539 10.916 90.00 90.00 90.00
Space group P-4m2 (No. 115)
One atom of each set of equivalent atoms:
Tl  0.000  0.000  0.000 [1 per cell]
Tl  0.000  0.000  0.500 [1 per cell]
Tl  0.500  0.500  0.000 [1 per cell]
Ag  0.000  0.500  0.797 [2 per cell]
S  0.500  0.500  0.285 [2 per cell]
S  0.500  0.500  0.500 [1 per cell]

Most intense lines, 2θ from 5° to 70°, by angle:
2θ/deg  d (Å)  I (rel.)  (hkl)
8.10  10.916  45  0 0 1
16.24  5.458  32  0 0 2
21.20  4.191  35  1 0 1
27.80  3.209  29  1 1 0
32.36  2.767  100  1 1 2
39.72  2.269  42  2 0 0

---

Entry 8:
Starting from the PBE geometry in OQMD, the PXRD pattern of TmAgS2 was calculated for Cu Kα.
Peak positions follow from Bragg's law for the DFT cell and can differ from measured ones.

Cell and atoms:
Lattice parameters (Å, degrees): 5.377 5.377 11.922 90.00 90.00 90.00
Space group I4_1md (No. 109)
One atom of each set of equivalent atoms:
Tm  0.000  0.000  0.000 [4 per cell]
Ag  0.000  0.000  0.465 [4 per cell]
S  0.000  0.000  0.229 [4 per cell]
S  0.000  0.000  0.774 [4 per cell]

Most intense lines, 2θ from 5° to 70°, by angle:
2θ/deg  d (Å)  I (rel.)  (hkl)
27.84  3.205  100  1 1 2
29.98  2.981  41  0 0 4
33.33  2.688  79  2 0 0
45.43  1.996  51  2 0 4
47.85  1.901  28  2 2 0
56.27  1.635  28  3 1 2

---

Which formula does entry 5 have? AgTeS6